# Cs4SrSn3Se9
Computed XRD peak list, Cu Kα (weighted mean of Kα1 and Kα2). Input: a DFT-relaxed cell (GGA-PBE, the Materials Project).
Intensities are scaled so that the largest is 100.

```
data_Cs4SrSn3Se9
_chemical_formula_sum 'Cs12 Sr3 Sn9 Se27'
_cell_length_a 15.0072
_cell_length_b 15.0072
_cell_length_c 9.9582
_cell_angle_alpha 90.00
_cell_angle_beta 90.00
_cell_angle_gamma 120.00
_symmetry_space_group_name_H-M 'R 3'
_symmetry_Int_Tables_number 146
_symmetry_space_group_name_Hall 'R 3'
loop_
_atom_site_label
_atom_site_type_symbol
_atom_site_fract_x
_atom_site_fract_y
_atom_site_fract_z
Cs1 Cs 0.0000 0.0000 0.0000
Cs2 Cs 0.0115 0.4495 0.3180
Sr1 Sr 0.0000 0.0000 0.4590
Sn1 Sn 0.0131 0.5718 0.9193
Se1 Se 0.0253 0.5976 0.6604
Se2 Se 0.0369 0.1940 0.2895
Se3 Se 0.1709 0.1154 0.6809
```

Peak list (6 most intense, 15° ≤ 2θ ≤ 90°, sorted by position)
Position (°2θ), I_rel
26.3, 100.0
26.9, 34.2
30.6, 44.9
43.5, 37.6
44.2, 36.2
51.9, 19.5